[1]
Calculated X-ray diffraction stick pattern
Compound: HfZrCoSb2Rh
Radiation: Cu Kα X-rays
Structure: a cell relaxed with GGA-PBE
No peak broadening, texture or thermal motion is included.

Main lines, low angle first (2θ from 15° to 90°):
hkl 0 0 6, 2θ = 23.81°, rel. 42.1
hkl 1 0 4, 2θ = 27.56°, rel. 5.8
hkl 1 1 0, 2θ = 39.37°, rel. 100.0
hkl 1 1 6, 2θ = 46.53°, rel. 21.0
hkl 2 0 8, 2θ = 56.89°, rel. 16.7
hkl 0 1 14, 2θ = 62.54°, rel. 8.7
hkl 3 0 0, 2θ = 71.38°, rel. 33.5
hkl 2 0 14, 2θ = 76.45°, rel. 6.5
hkl 2 2 0, 2θ = 84.70°, rel. 10.7
hkl 1 2 14, 2θ = 89.58°, rel. 6.8

Crystal structure
a = 4.5782 Å, b = 4.5782 Å, c = 22.4214 Å
α = 90.00°, β = 90.00°, γ = 120.00°
Space group R3m (No. 160, hexagonal axes)
One atom of each set of equivalent atoms:
1 Hf 0.0000 0.0000 0.0000 x3
2 Zr 0.0000 0.0000 0.5008 x3
3 Co 0.0000 0.0000 0.8756 x3
4 Sb 0.0000 0.0000 0.1256 x3
5 Sb 0.0000 0.0000 0.6255 x3
6 Rh 0.0000 0.0000 0.3748 x3

***

[2]
Calculated X-ray diffraction stick pattern
Compound: Tl2PO3
Radiation: Cu Kα X-rays
Structure: a cell relaxed with GGA-PBE
No peak broadening, texture or thermal motion is included.

Main lines, low angle first (2θ from 15° to 90°):
hkl 1 1 1, 2θ = 18.77°, rel. 18.3
hkl 1 1 3, 2θ = 27.39°, rel. 40.5
hkl 0 4 1, 2θ = 27.68°, rel. 26.3
hkl 0 0 4, 2θ = 28.10°, rel. 24.0
hkl 1 3 2, 2θ = 29.40°, rel. 100.0
hkl 2 0 0, 2θ = 32.50°, rel. 22.1
hkl 1 3 4, 2θ = 38.48°, rel. 13.1
hkl 2 4 1, 2θ = 43.19°, rel. 14.5
hkl 0 4 5, 2θ = 44.87°, rel. 16.9
hkl 1 7 3, 2θ = 55.48°, rel. 16.7

Crystal structure
a = 5.5106 Å, b = 13.3295 Å, c = 12.7017 Å
α = 90.00°, β = 90.00°, γ = 90.00°
Space group Pbca (No. 61)
One atom of each set of equivalent atoms:
1 Tl 0.0027 0.0797 0.1485 x8
2 Tl 0.0613 0.2152 0.8556 x8
3 P 0.0235 0.0640 0.5553 x8
4 O 0.0891 0.5332 0.8385 x8
5 O 0.1043 0.6573 0.9922 x8
6 O 0.1950 0.5782 0.5604 x8